Diffraction record for BaTmInBr6. The powder XRD pattern is theoretical, not measured: it uses a GGA-PBE-relaxed structure and a wavelength of 1.5418 Å.
Peak positions follow from Bragg's law for the DFT cell and can differ from measured ones.

Cell and atoms:
Cell: 7.9232 7.9232 13.6188 Å, 90.00 90.00 120.00°
Space group P-31c (No. 163)
One atom of each set of equivalent atoms:
Ba 0.3333 0.6667 0.2500 x2
Tm 0.3333 0.6667 0.7500 x2
In 0.0000 0.0000 0.0000 x2
Br 0.0446 0.3824 0.6317 x12

Largest 8 diffraction maxima, sorted by position, 10° ≤ 2θ ≤ 90°:
2θ = 13.0°, 6.825 Å, rel. 31, (0 0 2); 2θ = 18.4°, 4.833 Å, rel. 88, (1 0 2); 2θ = 26.0°, 3.424 Å, rel. 96, (1 1 2); 2θ = 29.1°, 3.064 Å, rel. 26, (2 0 2); 2θ = 34.7°, 2.582 Å, rel. 100, (1 1 4); 2θ = 37.1°, 2.424 Å, rel. 34, (2 1 2); 2θ = 39.4°, 2.287 Å, rel. 54, (3 0 0); 2θ = 53.5°, 1.712 Å, rel. 26, (4 -2 4)